Calculated powder diffractogram
Compound: LiPt2PbO8
Radiation: a wavelength of 1.5418 Å
Structure: a cell relaxed with GGA-PBE
Kinematic intensities with the Lorentz-polarization factor, no thermal factor.

Main lines, by angle (10° ≤ 2θ ≤ 80°):
14.9°, d 5.929, intensity 15; 24.2°, d 3.684, intensity 100; 30.1°, d 2.965, intensity 15; 33.0°, d 2.714, intensity 52; 41.3°, d 2.185, intensity 26; 45.3°, d 2.002, intensity 38; 50.1°, d 1.822, intensity 18; 53.9°, d 1.702, intensity 24; 58.9°, d 1.567, intensity 14; 71.4°, d 1.322, intensity 14

Crystal structure
```
LiPt2PbO8
1.0
5.4288 0.0000 0.0000
-2.7144 4.7015 0.0000
0.0000 0.0000 5.9294
Li Pt Pb O
1 2 1 8
direct
0.0000 0.0000 0.0000
0.3333 0.6667 0.9519
0.6667 0.3333 0.0481
0.0000 0.0000 0.5000
0.0510 0.3655 0.1522
0.3145 0.9490 0.1522
0.3333 0.6667 0.6259
0.3655 0.3145 0.8478
0.6345 0.6855 0.1522
0.6667 0.3333 0.3741
0.6855 0.0510 0.8478
0.9490 0.6345 0.8478
```

Calculated powder diffractogram
Compound: LiRh2Pb2O6
Radiation: a wavelength of 1.5418 Å
Structure: a cell relaxed with GGA-PBE
Kinematic intensities with the Lorentz-polarization factor, no thermal factor.

Main lines, by angle (10° ≤ 2θ ≤ 80°):
18.0°, d 4.926, intensity 46; 21.6°, d 4.106, intensity 100; 28.0°, d 3.192, intensity 51; 31.8°, d 2.817, intensity 51; 33.7°, d 2.656, intensity 79; 34.5°, d 2.602, intensity 38; 38.2°, d 2.353, intensity 100; 39.9°, d 2.258, intensity 51; 54.7°, d 1.679, intensity 32; 58.2°, d 1.584, intensity 29

Crystal structure
```
LiRh2Pb2O6
1.0
2.7141 -4.9258 0.0000
2.7141 4.9258 0.0000
-1.6732 0.0000 5.6348
Li Rh Pb O
1 2 2 6
direct
0.0000 0.0000 0.0000
0.3383 0.6617 0.0000
0.6617 0.3383 0.0000
0.1570 0.8430 0.5000
0.8430 0.1570 0.5000
0.0510 0.4230 0.1969
0.2834 0.2834 0.8274
0.4230 0.0510 0.1969
0.5770 0.9490 0.8031
0.7166 0.7166 0.1726
0.9490 0.5770 0.8031
```

Calculated powder diffractogram
Compound: LiPbS2O8
Radiation: a wavelength of 1.5418 Å
Structure: a cell relaxed with GGA-PBE
Kinematic intensities with the Lorentz-polarization factor, no thermal factor.

Main lines, by angle (10° ≤ 2θ ≤ 80°):
11.8°, d 7.479, intensity 79; 21.5°, d 4.139, intensity 67; 26.5°, d 3.368, intensity 100; 29.1°, d 3.071, intensity 32; 35.2°, d 2.550, intensity 20; 36.0°, d 2.493, intensity 18; 37.0°, d 2.431, intensity 34; 38.6°, d 2.334, intensity 27; 39.0°, d 2.312, intensity 56; 44.4°, d 2.038, intensity 25

Crystal structure
```
LiPbS2O8
1.0
2.4312 1.4036 7.4786
-2.4312 1.4036 7.4786
0.0000 -2.8073 7.4786
Li Pb S O
1 1 2 8
direct
0.0000 0.0000 0.0000
0.5000 0.5000 0.5000
0.2526 0.2526 0.2526
0.7474 0.7474 0.7474
0.0156 0.7301 0.4351
0.1852 0.1852 0.1852
0.2699 0.5649 0.9844
0.4351 0.0156 0.7301
0.5649 0.9844 0.2699
0.7301 0.4351 0.0156
0.8148 0.8148 0.8148
0.9844 0.2699 0.5649
```

Calculated powder diffractogram
Compound: Li2SbPb2O6
Radiation: a wavelength of 1.5418 Å
Structure: a cell relaxed with GGA-PBE
Kinematic intensities with the Lorentz-polarization factor, no thermal factor.

Main lines, by angle (10° ≤ 2θ ≤ 80°):
18.2°, d 4.874, intensity 77; 20.8°, d 4.276, intensity 30; 28.9°, d 3.085, intensity 26; 30.1°, d 2.966, intensity 100; 33.9°, d 2.646, intensity 78; 36.9°, d 2.437, intensity 22; 42.3°, d 2.138, intensity 22; 46.0°, d 1.974, intensity 35; 55.9°, d 1.644, intensity 43; 62.6°, d 1.484, intensity 29

Crystal structure
```
Li2SbPb2O6
1.0
2.9656 1.7122 5.1459
-2.9656 1.7122 5.1459
0.0000 -3.4243 5.1459
Li Sb Pb O
2 1 2 6
direct
0.0896 0.0896 0.0896
0.9104 0.9104 0.9104
0.5000 0.5000 0.5000
0.2956 0.2956 0.2956
0.7044 0.7044 0.7044
0.2656 0.2656 0.7183
0.2656 0.7183 0.2656
0.2817 0.7344 0.7344
0.7183 0.2656 0.2656
0.7344 0.2817 0.7344
0.7344 0.7344 0.2817
```

Calculated powder diffractogram
Compound: SrLi2PbO4
Radiation: a wavelength of 1.5418 Å
Structure: a cell relaxed with GGA-PBE
Kinematic intensities with the Lorentz-polarization factor, no thermal factor.

Main lines, by angle (10° ≤ 2θ ≤ 80°):
20.3°, d 4.383, intensity 46; 22.7°, d 3.925, intensity 100; 24.9°, d 3.572, intensity 29; 32.3°, d 2.775, intensity 30; 33.9°, d 2.642, intensity 85; 41.2°, d 2.191, intensity 58; 46.3°, d 1.963, intensity 24; 52.1°, d 1.755, intensity 21; 53.3°, d 1.719, intensity 25; 58.6°, d 1.575, intensity 36

Crystal structure
```
SrLi2PbO4
1.0
-2.7754 2.7754 3.5719
2.7754 -2.7754 3.5719
2.7754 2.7754 -3.5719
Sr Li Pb O
1 2 1 4
direct
0.0000 0.0000 0.0000
0.2500 0.7500 0.5000
0.7500 0.2500 0.5000
0.5000 0.5000 0.0000
0.1112 0.5497 0.0000
0.4503 0.4503 0.5615
0.5497 0.1112 0.0000
0.8888 0.8888 0.4385
```

Calculated powder diffractogram
Compound: LiTcPb2O6
Radiation: a wavelength of 1.5418 Å
Structure: a cell relaxed with GGA-PBE
Kinematic intensities with the Lorentz-polarization factor, no thermal factor.

Main lines, by angle (10° ≤ 2θ ≤ 80°):
24.2°, d 3.674, intensity 61; 29.0°, d 3.078, intensity 43; 31.5°, d 2.841, intensity 100; 31.7°, d 2.826, intensity 52; 40.1°, d 2.248, intensity 32; 43.3°, d 2.088, intensity 28; 45.3°, d 2.004, intensity 23; 56.1°, d 1.640, intensity 20; 56.2°, d 1.637, intensity 22; 65.7°, d 1.421, intensity 18

Crystal structure
```
LiTcPb2O6
1.0
2.8412 1.6404 9.2054
-2.8412 1.6404 9.2054
0.0000 -3.2808 9.2054
Li Tc Pb O
2 2 4 12
direct
0.0985 0.0985 0.0985
0.9015 0.9015 0.9015
0.0000 0.0000 0.0000
0.5000 0.5000 0.5000
0.2244 0.2244 0.2244
0.3778 0.3778 0.3778
0.6222 0.6222 0.6222
0.7756 0.7756 0.7756
0.1195 0.1195 0.6422
0.1195 0.6422 0.1195
0.2306 0.6958 0.6958
0.3042 0.3042 0.7694
0.3042 0.7694 0.3042
0.3578 0.8805 0.8805
0.6422 0.1195 0.1195
0.6958 0.2306 0.6958
0.6958 0.6958 0.2306
0.7694 0.3042 0.3042
0.8805 0.3578 0.8805
0.8805 0.8805 0.3578
```

Calculated powder diffractogram
Compound: Li2TePbO4
Radiation: a wavelength of 1.5418 Å
Structure: a cell relaxed with GGA-PBE
Kinematic intensities with the Lorentz-polarization factor, no thermal factor.

Main lines, by angle (10° ≤ 2θ ≤ 80°):
15.3°, d 5.797, intensity 58; 16.9°, d 5.244, intensity 100; 27.2°, d 3.279, intensity 26; 27.6°, d 3.237, intensity 26; 30.7°, d 2.909, intensity 34; 30.9°, d 2.897, intensity 54; 33.5°, d 2.676, intensity 29; 34.2°, d 2.622, intensity 47; 35.8°, d 2.509, intensity 22; 46.1°, d 1.970, intensity 21

Crystal structure
```
Li2TePbO4
1.0
3.8749 -5.8184 0.0000
3.8749 5.8184 0.0000
-3.1445 0.0000 5.3526
Li Te Pb O
4 2 2 8
direct
0.0000 0.0000 0.0000
0.0000 0.0000 0.5000
0.0000 0.5000 0.0000
0.5000 0.0000 0.5000
0.5000 0.5000 0.0000
0.5000 0.5000 0.5000
0.0000 0.5000 0.5000
0.5000 0.0000 0.0000
0.1635 0.2556 0.3310
0.2537 0.5939 0.9456
0.2556 0.1635 0.8310
0.4061 0.7463 0.5544
0.5939 0.2537 0.4456
0.7444 0.8365 0.1690
0.7463 0.4061 0.0544
0.8365 0.7444 0.6690
```

Calculated powder diffractogram
Compound: Li2Ti3PbO8
Radiation: a wavelength of 1.5418 Å
Structure: a cell relaxed with GGA-PBE
Kinematic intensities with the Lorentz-polarization factor, no thermal factor.

Main lines, by angle (10° ≤ 2θ ≤ 80°):
14.8°, d 5.995, intensity 31; 17.7°, d 5.018, intensity 75; 19.6°, d 4.518, intensity 100; 26.1°, d 3.408, intensity 80; 29.6°, d 3.017, intensity 25; 30.2°, d 2.963, intensity 43; 33.2°, d 2.695, intensity 75; 34.7°, d 2.586, intensity 52; 42.5°, d 2.126, intensity 28; 49.8°, d 1.832, intensity 36

Crystal structure
```
Li2Ti3PbO8
1.0
3.0172 1.7420 5.9946
-3.0172 1.7420 5.9946
0.0000 -3.4840 5.9946
Li Ti Pb O
2 3 1 8
direct
0.0000 0.0000 0.0000
0.4659 0.4659 0.4659
0.0389 0.0389 0.5272
0.0389 0.5272 0.0389
0.5272 0.0389 0.0389
0.6658 0.6658 0.6658
0.2306 0.7829 0.7829
0.2618 0.2618 0.2618
0.3011 0.3011 0.8392
0.3011 0.8392 0.3011
0.7829 0.2306 0.7829
0.7829 0.7829 0.2306
0.8156 0.8156 0.8156
0.8392 0.3011 0.3011
```

Question: Number 6 is which compound?
Answer: LiTcPb2O6